(1)
Diffraction record for PmNbN2O. The powder XRD pattern is calculated, not measured: it uses DFT lattice parameters and positions (GGA-PBE) and copper Kα.

Top 6 peaks for 10 to 90 degrees two-theta, sorted by position:
| 2θ/deg | intensity |
| --- | --- |
| 27.81 | 28 |
| 30.68 | 38 |
| 31.84 | 100 |
| 32.64 | 46 |
| 50.30 | 22 |
| 60.08 | 24 |

Cell and atoms:
a b c (Å): 3.7446 6.2199 5.8280
angles (deg): 90.00 90.00 90.00
Fractional coordinates of all 10 atoms:
Pm  0.0000  0.1599  0.0000
Pm  0.0000  0.8401  0.5000
Nb  0.5000  0.3202  0.5363
Nb  0.5000  0.6798  0.0363
N  0.0000  0.2179  0.5924
N  0.0000  0.7821  0.0924
N  0.5000  0.4078  0.8870
N  0.5000  0.5922  0.3870
O  0.5000  0.0883  0.2791
O  0.5000  0.9117  0.7791

=====

(2)
Diffraction record for PmNbN2O. The powder XRD pattern is calculated, not measured: it uses DFT lattice parameters and positions (GGA-PBE) and copper Kα.

Top 6 peaks for 10 to 90 degrees two-theta, sorted by position:
| 2θ/deg | intensity |
| --- | --- |
| 31.11 | 50 |
| 31.66 | 100 |
| 44.56 | 26 |
| 55.63 | 22 |
| 55.75 | 21 |
| 56.75 | 22 |

Cell and atoms:
a b c (Å): 7.8588 5.7597 5.7421
angles (deg): 90.00 90.00 90.00
Fractional coordinates of all 20 atoms:
Pm  0.0000  0.2320  0.0000
Pm  0.0000  0.7680  0.5000
Pm  0.5000  0.2681  0.0041
Pm  0.5000  0.7319  0.5041
Nb  0.2499  0.2500  0.4952
Nb  0.2499  0.7500  0.9952
Nb  0.7501  0.2500  0.4952
Nb  0.7501  0.7500  0.9952
N  0.1921  0.0039  0.2752
N  0.1921  0.9961  0.7752
N  0.3077  0.4989  0.2781
N  0.3077  0.5011  0.7781
N  0.6923  0.4989  0.2781
N  0.6923  0.5011  0.7781
N  0.8079  0.0039  0.2752
N  0.8079  0.9961  0.7752
O  0.0000  0.3584  0.5422
O  0.0000  0.6416  0.0422
O  0.5000  0.1418  0.5391
O  0.5000  0.8582  0.0391

=====

(3)
Diffraction record for PmNbN2O. The powder XRD pattern is calculated, not measured: it uses DFT lattice parameters and positions (GGA-PBE) and copper Kα.

Top 6 peaks for 10 to 90 degrees two-theta, sorted by position:
| 2θ/deg | intensity |
| --- | --- |
| 31.11 | 50 |
| 31.65 | 100 |
| 44.56 | 26 |
| 55.63 | 22 |
| 55.74 | 21 |
| 56.72 | 22 |

Cell and atoms:
a b c (Å): 5.6566 5.6566 5.6566
angles (deg): 91.93 118.80 118.98
Fractional coordinates of all 10 atoms:
Pm  0.0180  0.2500  0.2680
Pm  0.9820  0.7500  0.7320
Nb  0.4925  0.4925  0.0000
Nb  0.4925  0.9925  0.5000
N  0.0256  0.2158  0.6941
N  0.0256  0.8315  0.3097
N  0.5218  0.3315  0.3059
N  0.5218  0.7158  0.6903
O  0.4272  0.7855  0.1417
O  0.6437  0.2855  0.8583

=====

(4)
Diffraction record for PmNbN2O. The powder XRD pattern is calculated, not measured: it uses DFT lattice parameters and positions (GGA-PBE) and copper Kα.

Top 6 peaks for 10 to 90 degrees two-theta, sorted by position:
| 2θ/deg | intensity |
| --- | --- |
| 31.46 | 100 |
| 31.54 | 27 |
| 31.99 | 28 |
| 45.54 | 24 |
| 56.12 | 22 |
| 56.67 | 22 |

Cell and atoms:
a b c (Å): 7.9604 8.1215 11.1924
angles (deg): 90.00 134.55 90.00
Fractional coordinates of all 40 atoms:
Pm  0.2300  0.0055  0.4884
Pm  0.2300  0.4945  0.9884
Pm  0.2430  0.5047  0.4991
Pm  0.2430  0.9953  0.9991
Pm  0.7570  0.0047  0.0009
Pm  0.7570  0.4953  0.5009
Pm  0.7700  0.5055  0.0116
Pm  0.7700  0.9945  0.5116
Nb  0.2629  0.2433  0.2544
Nb  0.2629  0.2567  0.7544
Nb  0.2636  0.7468  0.2600
Nb  0.2636  0.7532  0.7600
Nb  0.7364  0.2468  0.2400
Nb  0.7364  0.2532  0.7400
Nb  0.7371  0.7433  0.2456
Nb  0.7371  0.7567  0.7456
N  0.1955  0.0024  0.2147
N  0.1955  0.4976  0.7147
N  0.2247  0.5026  0.2471
N  0.2247  0.9974  0.7471
N  0.4353  0.7325  0.9984
N  0.4353  0.7675  0.4984
N  0.4363  0.2442  0.6880
N  0.4363  0.2558  0.1880
N  0.5637  0.7442  0.8120
N  0.5637  0.7558  0.3120
N  0.5647  0.2325  0.5016
N  0.5647  0.2675  0.0016
N  0.7753  0.0026  0.2529
N  0.7753  0.4974  0.7529
N  0.8045  0.5024  0.2853
N  0.8045  0.9976  0.7853
O  0.0790  0.7380  0.9975
O  0.0790  0.7620  0.4975
O  0.0819  0.2453  0.8341
O  0.0819  0.2547  0.3341
O  0.9181  0.7453  0.6659
O  0.9181  0.7547  0.1659
O  0.9210  0.2380  0.5025
O  0.9210  0.2620  0.0025

=====

(5)
Diffraction record for PrNbN2O. The powder XRD pattern is calculated, not measured: it uses DFT lattice parameters and positions (GGA-PBE) and copper Kα.

Top 6 peaks for 10 to 90 degrees two-theta, sorted by position:
| 2θ/deg | intensity |
| --- | --- |
| 31.20 | 100 |
| 31.45 | 27 |
| 31.77 | 27 |
| 55.83 | 22 |
| 56.24 | 22 |
| 65.08 | 16 |

Cell and atoms:
a b c (Å): 7.9973 8.2117 11.2673
angles (deg): 90.00 134.65 90.00
Fractional coordinates of all 40 atoms:
Pr  0.2361  0.0046  0.4917
Pr  0.2361  0.4954  0.9917
Pr  0.2477  0.5046  0.5017
Pr  0.2477  0.9954  0.0017
Pr  0.7523  0.0046  0.9983
Pr  0.7523  0.4954  0.4983
Pr  0.7639  0.5046  0.0083
Pr  0.7639  0.9954  0.5083
Nb  0.2608  0.2410  0.2529
Nb  0.2608  0.2590  0.7529
Nb  0.2614  0.7437  0.2592
Nb  0.2614  0.7563  0.7592
Nb  0.7386  0.2437  0.2408
Nb  0.7386  0.2563  0.7408
Nb  0.7392  0.7410  0.2471
Nb  0.7392  0.7590  0.7471
N  0.2039  0.0029  0.2203
N  0.2039  0.4971  0.7203
N  0.2262  0.5031  0.2451
N  0.2262  0.9969  0.7451
N  0.4407  0.7366  0.9971
N  0.4407  0.7634  0.4971
N  0.4421  0.2445  0.6948
N  0.4421  0.2555  0.1948
N  0.5579  0.7445  0.8052
N  0.5579  0.7555  0.3052
N  0.5593  0.2366  0.5029
N  0.5593  0.2634  0.0029
N  0.7738  0.0031  0.2549
N  0.7738  0.4969  0.7549
N  0.7961  0.5029  0.2797
N  0.7961  0.9971  0.7797
O  0.0752  0.7403  0.9960
O  0.0752  0.7597  0.4960
O  0.0775  0.2444  0.8310
O  0.0775  0.2556  0.3310
O  0.9225  0.7444  0.6690
O  0.9225  0.7556  0.1690
O  0.9248  0.2404  0.5040
O  0.9248  0.2596  0.0040

=====

(6)
Diffraction record for PrNbN2O. The powder XRD pattern is calculated, not measured: it uses DFT lattice parameters and positions (GGA-PBE) and copper Kα.

Top 6 peaks for 10 to 90 degrees two-theta, sorted by position:
| 2θ/deg | intensity |
| --- | --- |
| 31.05 | 23 |
| 31.23 | 26 |
| 31.47 | 100 |
| 44.62 | 27 |
| 55.50 | 22 |
| 55.73 | 20 |

Cell and atoms:
a b c (Å): 5.7279 7.9613 5.7605
angles (deg): 90.00 90.00 90.00
Fractional coordinates of all 20 atoms:
Pr  0.0022  0.2500  0.0166
Pr  0.4978  0.7500  0.5166
Pr  0.5022  0.2500  0.4834
Pr  0.9978  0.7500  0.9834
Nb  0.0000  0.0000  0.5000
Nb  0.0000  0.5000  0.5000
Nb  0.5000  0.0000  0.0000
Nb  0.5000  0.5000  0.0000
N  0.2481  0.5533  0.7517
N  0.2481  0.9467  0.7517
N  0.2519  0.0533  0.2517
N  0.2519  0.4467  0.2517
N  0.7481  0.5533  0.7483
N  0.7481  0.9467  0.7483
N  0.7519  0.0533  0.2483
N  0.7519  0.4467  0.2483
O  0.0014  0.7500  0.4021
O  0.4986  0.2500  0.9021
O  0.5014  0.7500  0.0979
O  0.9986  0.2500  0.5979

=====

(7)
Diffraction record for SmNbNO. The powder XRD pattern is calculated, not measured: it uses DFT lattice parameters and positions (GGA-PBE) and copper Kα.

Top 6 peaks for 10 to 90 degrees two-theta, sorted by position:
| 2θ/deg | intensity |
| --- | --- |
| 26.67 | 27 |
| 26.78 | 21 |
| 33.03 | 100 |
| 38.76 | 25 |
| 47.22 | 20 |
| 47.70 | 19 |

Cell and atoms:
a b c (Å): 7.7296 6.6585 4.6462
angles (deg): 90.00 90.00 90.00
Fractional coordinates of all 16 atoms:
Sm  0.1331  0.0495  0.2500
Sm  0.1331  0.4505  0.7500
Sm  0.8669  0.5495  0.2500
Sm  0.8669  0.9505  0.7500
Nb  0.3739  0.6078  0.2500
Nb  0.3739  0.8922  0.7500
Nb  0.6261  0.1078  0.2500
Nb  0.6261  0.3922  0.7500
N  0.4158  0.5873  0.7500
N  0.4158  0.9127  0.2500
N  0.5842  0.0873  0.7500
N  0.5842  0.4127  0.2500
O  0.1547  0.0965  0.7500
O  0.1547  0.4035  0.2500
O  0.8453  0.5965  0.7500
O  0.8453  0.9035  0.2500

=====

(8)
Diffraction record for SrNbNO2. The powder XRD pattern is calculated, not measured: it uses DFT lattice parameters and positions (GGA-PBE) and copper Kα.

Top 6 peaks for 10 to 90 degrees two-theta, sorted by position:
| 2θ/deg | intensity |
| --- | --- |
| 31.18 | 100 |
| 31.33 | 55 |
| 44.90 | 32 |
| 55.39 | 22 |
| 55.67 | 42 |
| 65.02 | 20 |

Cell and atoms:
a b c (Å): 5.7104 5.7104 8.1524
angles (deg): 90.00 90.00 90.00
Fractional coordinates of all 20 atoms:
Sr  0.0000  0.0000  0.2500
Sr  0.0000  0.0000  0.7500
Sr  0.5000  0.5000  0.2500
Sr  0.5000  0.5000  0.7500
Nb  0.0000  0.5000  0.0000
Nb  0.0000  0.5000  0.5000
Nb  0.5000  0.0000  0.0000
Nb  0.5000  0.0000  0.5000
N  0.2138  0.2138  0.0000
N  0.2138  0.7862  0.5000
N  0.7862  0.2138  0.5000
N  0.7862  0.7862  0.0000
O  0.0000  0.5000  0.2500
O  0.0000  0.5000  0.7500
O  0.2912  0.2912  0.5000
O  0.2912  0.7088  0.0000
O  0.5000  0.0000  0.2500
O  0.5000  0.0000  0.7500
O  0.7088  0.2912  0.0000
O  0.7088  0.7088  0.5000